Diffraction record for Cs2SmZn3F12. The powder X-ray diffraction pattern is computed, not measured: it uses a crystal structure in Alexandria, relaxed with PBE and Cu Kα.
Lines closer than 0.1° are merged.

Structure:
Lattice parameters (Å, degrees): 7.770 7.770 7.770 58.05 58.05 58.05
Fractional positions:
Cs1 0.114 0.114 0.114
Cs2 0.886 0.886 0.886
Sm1 0.500 0.500 0.500
Zn1 0.000 0.500 0.500
Zn2 0.500 0.000 0.500
Zn3 0.500 0.500 0.000
F1 0.142 0.589 0.589
F2 0.197 0.197 0.585
F3 0.197 0.585 0.197
F4 0.411 0.411 0.858
F5 0.411 0.858 0.411
F6 0.415 0.803 0.803
F7 0.585 0.197 0.197
F8 0.589 0.142 0.589
F9 0.589 0.589 0.142
F10 0.803 0.415 0.803
F11 0.803 0.803 0.415
F12 0.858 0.411 0.411

Top 10 peaks for 2θ from 15° to 90°, low angle first:
| 2θ (°) | I_rel |
| --- | --- |
| 23.60 | 418 |
| 26.82 | 770 |
| 27.42 | 1000 |
| 27.71 | 429 |
| 28.87 | 476 |
| 43.52 | 261 |
| 43.91 | 325 |
| 46.81 | 335 |
| 48.28 | 450 |
| 56.09 | 212 |

***

Diffraction record for Mn2AlZn6. The powder X-ray diffraction pattern is computed, not measured: it uses a crystal structure in Alexandria, relaxed with PBE and Cu Kα.
Lines closer than 0.1° are merged.

Structure:
Lattice parameters (Å, degrees): 8.159 6.109 6.048 84.30 48.17 47.53
Fractional positions:
Mn1 0.162 0.838 0.162
Mn2 0.838 0.162 0.838
Al1 0.500 0.500 0.500
Zn1 0.168 0.168 0.832
Zn2 0.168 0.507 0.493
Zn3 0.493 0.832 0.168
Zn4 0.507 0.168 0.832
Zn5 0.832 0.493 0.507
Zn6 0.832 0.832 0.168

Top 10 peaks for 2θ from 15° to 90°, low angle first:
| 2θ (°) | I_rel |
| --- | --- |
| 34.02 | 34 |
| 40.69 | 1000 |
| 46.99 | 161 |
| 47.51 | 313 |
| 69.05 | 187 |
| 69.46 | 92 |
| 82.96 | 108 |
| 83.68 | 109 |
| 83.79 | 105 |
| 88.11 | 94 |

***

Diffraction record for KRbGe. The powder X-ray diffraction pattern is computed, not measured: it uses a crystal structure in Alexandria, relaxed with PBE and Cu Kα.
Lines closer than 0.1° are merged.

Structure:
Lattice parameters (Å, degrees): 12.181 12.181 4.194 99.82 99.82 27.26
Fractional positions:
K1 0.000 0.000 0.000
K2 0.249 0.249 0.749
Rb1 0.391 0.391 0.389
Rb2 0.641 0.641 0.645
Ge1 0.777 0.777 0.277
Ge2 0.839 0.839 0.839

Top 10 peaks for 2θ from 15° to 90°, low angle first:
| 2θ (°) | I_rel |
| --- | --- |
| 15.90 | 408 |
| 24.60 | 801 |
| 26.31 | 301 |
| 27.42 | 298 |
| 28.63 | 262 |
| 30.53 | 1000 |
| 31.16 | 532 |
| 35.15 | 420 |
| 43.14 | 210 |
| 50.29 | 213 |

***

Diffraction record for Dy6Y2In. The powder X-ray diffraction pattern is computed, not measured: it uses a crystal structure in Alexandria, relaxed with PBE and Cu Kα.
Lines closer than 0.1° are merged.

Structure:
Lattice parameters (Å, degrees): 9.855 9.855 3.515 90.09 90.09 56.86
Fractional positions:
Dy1 0.163 0.512 0.501
Dy2 0.198 0.802 0.000
Dy3 0.488 0.837 0.499
Dy4 0.512 0.163 0.501
Dy5 0.802 0.198 0.000
Dy6 0.837 0.488 0.499
Y1 0.180 0.180 0.999
Y2 0.820 0.820 0.001
In1 0.500 0.500 0.500

Top 10 peaks for 2θ from 15° to 90°, low angle first:
| 2θ (°) | I_rel |
| --- | --- |
| 27.58 | 440 |
| 30.96 | 608 |
| 32.55 | 1000 |
| 32.81 | 206 |
| 33.49 | 567 |
| 38.14 | 358 |
| 55.78 | 175 |
| 56.08 | 191 |
| 62.73 | 301 |
| 68.16 | 168 |

***

Diffraction record for La2Ga5Pd5. The powder X-ray diffraction pattern is computed, not measured: it uses a crystal structure in Alexandria, relaxed with PBE and Cu Kα.
Lines closer than 0.1° are merged.

Structure:
Lattice parameters (Å, degrees): 4.344 5.446 9.548 90.00 90.00 90.00
Fractional positions:
La1 0.000 0.000 0.000
La2 0.000 0.500 0.500
Ga1 0.500 0.000 0.500
Ga2 0.500 0.245 0.236
Ga3 0.500 0.245 0.764
Ga4 0.500 0.755 0.236
Ga5 0.500 0.755 0.764
Pd1 0.000 0.000 0.337
Pd2 0.000 0.000 0.663
Pd3 0.000 0.500 0.189
Pd4 0.000 0.500 0.811
Pd5 0.500 0.500 0.000

Top 10 peaks for 2θ from 15° to 90°, low angle first:
| 2θ (°) | I_rel |
| --- | --- |
| 27.88 | 217 |
| 32.59 | 269 |
| 32.89 | 184 |
| 38.04 | 166 |
| 38.78 | 1000 |
| 39.04 | 434 |
| 41.58 | 378 |
| 43.57 | 194 |
| 62.68 | 234 |
| 83.20 | 159 |

***

Diffraction record for Tl5Pb3Br12. The powder X-ray diffraction pattern is computed, not measured: it uses a crystal structure in Alexandria, relaxed with PBE and Cu Kα.
Lines closer than 0.1° are merged.

Structure:
Lattice parameters (Å, degrees): 13.739 13.739 4.535 90.00 90.00 120.00
Fractional positions:
Tl1 0.000 0.290 0.000
Tl2 0.290 0.000 0.000
Tl3 0.333 0.667 0.000
Tl4 0.667 0.333 0.000
Tl5 0.710 0.710 0.000
Pb1 0.000 0.673 0.500
Pb2 0.327 0.327 0.500
Pb3 0.673 0.000 0.500
Br1 0.000 0.528 0.000
Br2 0.000 0.822 0.000
Br3 0.178 0.178 0.000
Br4 0.198 0.451 0.500
Br5 0.253 0.802 0.500
Br6 0.451 0.198 0.500
Br7 0.472 0.472 0.000
Br8 0.528 0.000 0.000
Br9 0.549 0.747 0.500
Br10 0.747 0.549 0.500
Br11 0.802 0.253 0.500
Br12 0.822 0.000 0.000

Top 10 peaks for 2θ from 15° to 90°, low angle first:
| 2θ (°) | I_rel |
| --- | --- |
| 22.42 | 787 |
| 23.50 | 855 |
| 27.02 | 248 |
| 27.94 | 852 |
| 32.70 | 1000 |
| 38.49 | 264 |
| 39.35 | 325 |
| 39.75 | 334 |
| 40.01 | 658 |
| 46.11 | 250 |

***

Diffraction record for Ho2Ge3Ru. The powder X-ray diffraction pattern is computed, not measured: it uses a crystal structure in Alexandria, relaxed with PBE and Cu Kα.
Lines closer than 0.1° are merged.

Structure:
Lattice parameters (Å, degrees): 5.596 5.596 6.974 126.86 126.86 46.25
Fractional positions:
Ho1 0.000 0.000 0.000
Ho2 0.108 0.108 0.600
Ge1 0.374 0.374 0.188
Ge2 0.432 0.432 0.651
Ge3 0.733 0.733 0.406
Ru1 0.733 0.733 0.037

Top 10 peaks for 2θ from 15° to 90°, low angle first:
| 2θ (°) | I_rel |
| --- | --- |
| 23.22 | 278 |
| 32.98 | 357 |
| 33.59 | 538 |
| 33.92 | 315 |
| 34.51 | 1000 |
| 35.10 | 999 |
| 40.29 | 681 |
| 40.90 | 257 |
| 41.07 | 613 |
| 67.14 | 313 |

***

Diffraction record for Ac2LaPm2Ho. The powder X-ray diffraction pattern is computed, not measured: it uses a crystal structure in Alexandria, relaxed with PBE and Cu Kα.
Lines closer than 0.1° are merged.

Structure:
Lattice parameters (Å, degrees): 5.946 10.288 7.385 90.00 90.00 90.00
Fractional positions:
Ac1 0.000 0.000 0.000
Ac2 0.000 0.000 0.500
Ac3 0.500 0.172 0.250
Ac4 0.500 0.828 0.750
La1 0.500 0.500 0.000
La2 0.500 0.500 0.500
Pm1 0.000 0.342 0.250
Pm2 0.000 0.658 0.750
Pm3 0.500 0.174 0.750
Pm4 0.500 0.826 0.250
Ho1 0.000 0.335 0.751
Ho2 0.000 0.665 0.251

Top 10 peaks for 2θ from 15° to 90°, low angle first:
| 2θ (°) | I_rel |
| --- | --- |
| 29.78 | 932 |
| 30.07 | 1000 |
| 42.83 | 349 |
| 53.22 | 371 |
| 53.41 | 201 |
| 58.89 | 304 |
| 62.51 | 125 |
| 70.76 | 158 |
| 75.68 | 149 |
| 86.69 | 103 |

***

Diffraction record for Ba12NaSr7. The powder X-ray diffraction pattern is computed, not measured: it uses a crystal structure in Alexandria, relaxed with PBE and Cu Kα.
Lines closer than 0.1° are merged.

Structure:
Lattice parameters (Å, degrees): 12.852 12.852 12.852 109.47 109.47 109.47
Fractional positions:
Ba1 0.103 0.754 0.348
Ba2 0.246 0.348 0.594
Ba3 0.246 0.652 0.897
Ba4 0.348 0.103 0.754
Ba5 0.348 0.594 0.246
Ba6 0.406 0.754 0.652
Ba7 0.594 0.246 0.348
Ba8 0.652 0.406 0.754
Ba9 0.652 0.897 0.246
Ba10 0.754 0.348 0.103
Ba11 0.754 0.652 0.406
Ba12 0.897 0.246 0.652
Na1 0.000 0.000 0.000
Sr1 0.000 0.000 0.500
Sr2 0.000 0.500 0.000
Sr3 0.000 0.500 0.500
Sr4 0.500 0.000 0.000
Sr5 0.500 0.000 0.500
Sr6 0.500 0.500 0.000
Sr7 0.500 0.500 0.500

Top 10 peaks for 2θ from 15° to 90°, low angle first:
| 2θ (°) | I_rel |
| --- | --- |
| 18.91 | 488 |
| 22.42 | 623 |
| 23.99 | 582 |
| 25.47 | 261 |
| 26.87 | 1000 |
| 28.21 | 336 |
| 29.49 | 944 |
| 30.72 | 271 |
| 44.00 | 282 |
| 45.75 | 736 |

***

Diffraction record for BiRu2O7. The powder X-ray diffraction pattern is computed, not measured: it uses a crystal structure in Alexandria, relaxed with PBE and Cu Kα.
Lines closer than 0.1° are merged.

Structure:
Lattice parameters (Å, degrees): 7.206 7.206 7.206 119.89 119.57 90.46
Fractional positions:
Bi1 0.244 0.250 0.494
Bi2 0.256 0.750 0.006
Ru1 0.250 0.248 0.998
Ru2 0.750 0.250 0.000
Ru3 0.750 0.252 0.502
Ru4 0.750 0.750 0.500
O1 0.076 0.326 0.750
O2 0.076 0.931 0.768
O3 0.078 0.311 0.148
O4 0.135 0.885 0.250
O5 0.365 0.615 0.750
O6 0.422 0.571 0.233
O7 0.424 0.174 0.250
O8 0.424 0.191 0.855
O9 0.662 0.929 0.352
O10 0.663 0.309 0.732
O11 0.700 0.950 0.750
O12 0.800 0.550 0.250
O13 0.837 0.569 0.645
O14 0.838 0.189 0.267

Top 10 peaks for 2θ from 15° to 90°, low angle first:
| 2θ (°) | I_rel |
| --- | --- |
| 15.05 | 355 |
| 17.48 | 256 |
| 28.95 | 148 |
| 30.34 | 1000 |
| 35.08 | 206 |
| 39.45 | 115 |
| 50.66 | 377 |
| 59.93 | 142 |
| 60.11 | 147 |
| 60.41 | 143 |

***

Diffraction record for Ti3InCo4. The powder X-ray diffraction pattern is computed, not measured: it uses a crystal structure in Alexandria, relaxed with PBE and Cu Kα.
Lines closer than 0.1° are merged.

Structure:
Lattice parameters (Å, degrees): 4.247 4.247 6.064 90.00 90.00 90.00
Fractional positions:
Ti1 0.000 0.000 0.000
Ti2 0.000 0.000 0.500
Ti3 0.500 0.500 0.000
In1 0.500 0.500 0.500
Co1 0.000 0.500 0.231
Co2 0.000 0.500 0.769
Co3 0.500 0.000 0.231
Co4 0.500 0.000 0.769

Top 10 peaks for 2θ from 15° to 90°, low angle first:
| 2θ (°) | I_rel |
| --- | --- |
| 20.92 | 59 |
| 25.61 | 74 |
| 33.29 | 79 |
| 36.41 | 30 |
| 42.36 | 1000 |
| 42.57 | 507 |
| 61.13 | 71 |
| 61.78 | 154 |
| 77.34 | 136 |
| 77.78 | 292 |

***

Diffraction record for Pr6CdAg. The powder X-ray diffraction pattern is computed, not measured: it uses a crystal structure in Alexandria, relaxed with PBE and Cu Kα.
Lines closer than 0.1° are merged.

Structure:
Lattice parameters (Å, degrees): 6.352 6.356 6.361 93.54 93.47 93.65
Fractional positions:
Pr1 0.030 0.253 0.053
Pr2 0.246 0.948 0.468
Pr3 0.448 0.470 0.747
Pr4 0.552 0.530 0.253
Pr5 0.754 0.052 0.532
Pr6 0.970 0.747 0.947
Cd1 0.500 0.000 0.000
Ag1 0.000 0.500 0.500

Top 10 peaks for 2θ from 15° to 90°, low angle first:
| 2θ (°) | I_rel |
| --- | --- |
| 25.94 | 139 |
| 28.19 | 326 |
| 30.73 | 1000 |
| 32.45 | 499 |
| 33.51 | 149 |
| 34.31 | 784 |
| 36.64 | 212 |
| 52.25 | 256 |
| 57.20 | 151 |
| 58.30 | 137 |